(1)
Diffraction record for Tm2PdRu. The X-ray powder pattern is simulated, not measured: it uses a cell relaxed with PBE and Cu Kα (weighted mean of Kα1 and Kα2).
Kinematic intensities with the Lorentz-polarization factor, no thermal factor.

Structure:
```
Tm2PdRu
1.0
0.000 3.410 3.410
3.410 0.000 3.410
3.410 3.410 0.000
Tm Pd Ru
2 1 1
Direct
0.250 0.250 0.250
0.750 0.750 0.750
0.000 0.000 0.000
0.500 0.500 0.500
```

Peak list (8 most intense, 15 to 90 degrees two-theta, in order of rising 2θ)
Position (°2θ), Rel. int.
26.1, 6.2
37.3, 100.0
46.1, 2.0
53.8, 17.4
60.7, 2.7
67.3, 35.3
79.5, 11.0
85.4, 1.4

(2)
Diffraction record for NdZrO14. The X-ray powder pattern is simulated, not measured: it uses a cell relaxed with PBE and Cu Kα (weighted mean of Kα1 and Kα2).
Kinematic intensities with the Lorentz-polarization factor, no thermal factor.

Structure:
```
NdZrO14
1.0
0.000 5.446 5.446
5.446 0.000 5.446
5.446 5.446 0.000
Nd Zr O
2 2 28
Direct
0.125 0.125 0.125
0.875 0.875 0.875
0.375 0.375 0.375
0.625 0.625 0.625
0.000 0.000 0.000
0.000 0.000 0.500
0.000 0.500 0.000
0.070 0.369 0.369
0.070 0.369 0.692
0.070 0.692 0.369
0.308 0.631 0.631
0.308 0.631 0.930
0.308 0.930 0.631
0.369 0.070 0.369
0.369 0.070 0.692
0.369 0.369 0.070
0.369 0.369 0.692
0.369 0.692 0.070
0.369 0.692 0.369
0.500 0.000 0.000
0.631 0.308 0.631
0.631 0.308 0.930
0.631 0.631 0.308
0.631 0.631 0.930
0.631 0.930 0.308
0.631 0.930 0.631
0.692 0.070 0.369
0.692 0.369 0.070
0.692 0.369 0.369
0.930 0.308 0.631
0.930 0.631 0.308
0.930 0.631 0.631
```

Peak list (8 most intense, 15 to 90 degrees two-theta, in order of rising 2θ)
Position (°2θ), Rel. int.
23.1, 100.0
32.9, 16.0
40.6, 94.4
47.2, 17.6
53.2, 33.6
58.7, 11.5
64.0, 24.5
73.8, 25.0